Structure and calculated X-ray powder pattern of Tm2WF11 (a DFT-relaxed cell (PBE+U, Alexandria); a wavelength of 1.5418 Å).
Peak positions follow from Bragg's law for the DFT cell and can differ from measured ones.

Most intense lines, 10° ≤ 2θ ≤ 80°, by angle:
2θ (°)	intensity
22.27	100.0
22.67	39.6
24.54	69.4
25.89	56.8
28.94	35.2
35.62	23.5
45.46	40.5
47.47	31.9
49.86	34.6
50.27	23.7

Structural model:
Unit cell a=8.246 b=8.246 c=8.246 alpha=123.42 beta=104.73 gamma=101.25
Fractional coordinates of all 28 atoms:
Tm1 0.181 0.137 0.318
Tm2 0.319 0.637 0.956
Tm3 0.681 0.363 0.044
Tm4 0.819 0.863 0.682
W1 0.250 0.750 0.500
W2 0.750 0.250 0.500
F1 0.000 0.000 0.000
F2 0.009 0.439 0.750
F3 0.080 0.851 0.640
F4 0.189 0.939 0.429
F5 0.211 0.440 0.360
F6 0.221 0.871 0.092
F7 0.279 0.371 0.650
F8 0.289 0.649 0.229
F9 0.311 0.741 0.750
F10 0.420 0.060 0.771
F11 0.491 0.241 0.429
F12 0.500 0.500 0.000
F13 0.509 0.759 0.571
F14 0.580 0.940 0.229
F15 0.689 0.259 0.250
F16 0.711 0.351 0.771
F17 0.721 0.629 0.350
F18 0.779 0.129 0.908
F19 0.789 0.560 0.640
F20 0.811 0.061 0.571
F21 0.920 0.149 0.360
F22 0.991 0.561 0.250